1.
For Cr4Os3, DFT lattice parameters and positions (PBE) gives the theoretical powder diffractogram in this record (Cu Kα (weighted mean of Kα1 and Kα2)).

Largest 10 diffraction maxima, by angle, 10° ≤ 2θ ≤ 90°:
d 5.435, 2θ 16.31, I 24, hkl 0 0 4
d 2.671, 2θ 33.56, I 45, hkl 1 0 3
d 2.174, 2θ 41.54, I 12, hkl 0 0 10
d 2.109, 2θ 42.89, I 100, hkl 1 0 7
d 2.031, 2θ 44.61, I 48, hkl 1 1 0
d 1.484, 2θ 62.59, I 14, hkl 1 1 10
d 1.436, 2θ 64.92, I 15, hkl 2 0 0
d 1.265, 2θ 75.09, I 10, hkl 2 1 3
d 1.234, 2θ 77.35, I 13, hkl 1 1 14
d 1.187, 2θ 80.99, I 30, hkl 2 1 7

Atomic structure:
abc: 2.873 2.873 21.738
angles: 90.00 90.00 90.00
Space group I4/mmm (No. 139)
Symmetry-distinct sites (fractional):
Cr 0.000 0.000 0.075 (multiplicity 4)
Cr 0.000 0.000 0.368 (multiplicity 4)
Os 0.000 0.000 0.207 (multiplicity 4)
Os 0.000 0.000 0.500 (multiplicity 2)

---

2.
For Cr2Os, DFT lattice parameters and positions (PBE) gives the theoretical powder diffractogram in this record (Cu Kα (weighted mean of Kα1 and Kα2)).

Largest 10 diffraction maxima, by angle, 10° ≤ 2θ ≤ 90°:
d 3.852, 2θ 23.09, I 33, hkl 1 1 1
d 2.359, 2θ 38.16, I 82, hkl 2 2 0
d 2.011, 2θ 45.07, I 100, hkl 3 1 1
d 1.926, 2θ 47.20, I 9, hkl 2 2 2
d 1.668, 2θ 55.06, I 3, hkl 4 0 0
d 1.530, 2θ 60.49, I 9, hkl 3 3 1
d 1.362, 2θ 68.96, I 29, hkl 4 2 2
d 1.284, 2θ 73.81, I 30, hkl 5 1 1
d 1.179, 2θ 81.65, I 21, hkl 4 4 0
d 1.128, 2θ 86.26, I 7, hkl 5 3 1

Atomic structure:
abc: 6.671 6.671 6.671
angles: 90.00 90.00 90.00
Space group Fd-3m (No. 227, origin choice 2)
Symmetry-distinct sites (fractional):
Cr 0.000 0.000 0.000 (multiplicity 16)
Os 0.125 0.125 0.625 (multiplicity 8)

---

3.
For Cr2Os, DFT lattice parameters and positions (PBE) gives the theoretical powder diffractogram in this record (Cu Kα (weighted mean of Kα1 and Kα2)).

Largest 10 diffraction maxima, by angle, 10° ≤ 2θ ≤ 90°:
d 4.557, 2θ 19.48, I 10, hkl 2 0 0
d 4.165, 2θ 21.33, I 43, hkl 2 0 -1
d 2.808, 2θ 31.87, I 10, hkl 0 0 2
d 2.541, 2θ 35.33, I 12, hkl 1 1 -1
d 2.376, 2θ 37.87, I 24, hkl 1 1 1
d 2.135, 2θ 42.34, I 33, hkl 2 0 2
d 2.082, 2θ 43.46, I 100, hkl 3 1 0
d 2.046, 2θ 44.28, I 62, hkl 1 1 -2
d 1.519, 2θ 61.00, I 11, hkl 6 0 0
d 1.188, 2θ 80.92, I 17, hkl 2 2 2

Atomic structure:
abc: 9.506 2.860 5.857
angles: 90.00 106.52 90.00
Space group Cm (No. 8)
Symmetry-distinct sites (fractional):
Cr 0.000 0.000 0.000 (multiplicity 2)
Cr 0.044 0.000 0.530 (multiplicity 2)
Cr 0.169 0.500 0.350 (multiplicity 2)
Cr 0.361 0.000 0.677 (multiplicity 2)
Os 0.190 0.500 0.869 (multiplicity 2)
Os 0.359 0.000 0.239 (multiplicity 2)

---

4.
For CrOs, DFT lattice parameters and positions (PBE) gives the theoretical powder diffractogram in this record (Cu Kα (weighted mean of Kα1 and Kα2)).

Largest 10 diffraction maxima, by angle, 10° ≤ 2θ ≤ 90°:
d 3.297, 2θ 27.04, I 43, hkl 0 2 0
d 2.867, 2θ 31.19, I 48, hkl 2 0 0
d 2.766, 2θ 32.37, I 38, hkl 0 0 1
d 2.164, 2θ 41.75, I 97, hkl 2 2 0
d 2.119, 2θ 42.67, I 100, hkl 0 2 1
d 2.052, 2θ 44.12, I 33, hkl 1 3 0
d 1.991, 2θ 45.57, I 89, hkl 2 0 1
d 1.704, 2θ 53.79, I 34, hkl 2 2 1
d 1.648, 2θ 55.77, I 32, hkl 0 4 0
d 1.165, 2θ 82.83, I 47, hkl 2 2 2

Atomic structure:
abc: 5.734 6.594 2.766
angles: 90.00 90.00 90.00
Space group Cmmm (No. 65)
Symmetry-distinct sites (fractional):
Cr 0.200 0.000 0.000 (multiplicity 4)
Os 0.000 0.286 0.500 (multiplicity 4)

---

5.
For Cr3Os2, DFT lattice parameters and positions (PBE) gives the theoretical powder diffractogram in this record (Cu Kα (weighted mean of Kα1 and Kα2)).

Largest 10 diffraction maxima, by angle, 10° ≤ 2θ ≤ 90°:
d 3.931, 2θ 22.62, I 17, hkl 1 1 1
d 3.604, 2θ 24.70, I 55, hkl 2 2 0
d 2.948, 2θ 30.32, I 45, hkl 1 3 1
d 2.437, 2θ 36.88, I 20, hkl 3 1 1
d 2.197, 2θ 41.09, I 46, hkl 4 0 0
d 2.153, 2θ 41.96, I 100, hkl 1 5 1
d 2.138, 2θ 42.27, I 35, hkl 3 3 1
d 2.074, 2θ 43.64, I 23, hkl 4 2 0
d 2.069, 2θ 43.76, I 72, hkl 2 0 2
d 1.770, 2θ 51.66, I 35, hkl 3 5 1

Atomic structure:
abc: 8.785 12.608 4.690
angles: 90.00 90.00 90.00
Space group Fdd2 (No. 43)
Symmetry-distinct sites (fractional):
Cr 0.000 0.000 0.000 (multiplicity 8)
Cr 0.054 0.101 0.472 (multiplicity 16)
Os 0.030 0.197 0.935 (multiplicity 16)

---

6.
For CrOs5, DFT lattice parameters and positions (PBE) gives the theoretical powder diffractogram in this record (Cu Kα (weighted mean of Kα1 and Kα2)).

Largest 10 diffraction maxima, by angle, 10° ≤ 2θ ≤ 90°:
d 4.098, 2θ 21.69, I 6, hkl 1 0 0
d 2.970, 2θ 30.09, I 7, hkl 1 0 1
d 2.366, 2θ 38.03, I 26, hkl 1 1 0
d 2.155, 2θ 41.93, I 25, hkl 0 0 2
d 2.074, 2θ 43.64, I 100, hkl 1 1 1
d 1.593, 2θ 57.89, I 15, hkl 1 1 2
d 1.366, 2θ 68.72, I 17, hkl 3 0 0
d 1.228, 2θ 77.79, I 19, hkl 1 1 3
d 1.154, 2θ 83.86, I 20, hkl 3 0 2
d 1.141, 2θ 85.03, I 15, hkl 2 2 1

Atomic structure:
abc: 4.7319 4.7319 4.3090
angles: 90.00 90.00 120.00
Space group P-62m (No. 189)
Symmetry-distinct sites (fractional):
Cr 0.0000 0.0000 0.0000 (multiplicity 1)
Os 0.0000 0.6712 0.5000 (multiplicity 3)
Os 0.3333 0.6667 0.0000 (multiplicity 2)

---

7.
For Cr2POs, DFT lattice parameters and positions (PBE) gives the theoretical powder diffractogram in this record (Cu Kα (weighted mean of Kα1 and Kα2)).

Largest 10 diffraction maxima, by angle, 10° ≤ 2θ ≤ 90°:
d 5.848, 2θ 15.15, I 49, hkl 0 0 1
d 2.924, 2θ 30.57, I 17, hkl 0 0 2
d 2.882, 2θ 31.03, I 31, hkl 1 0 0
d 2.585, 2θ 34.70, I 42, hkl 1 0 1
d 2.053, 2θ 44.12, I 100, hkl 1 0 2
d 2.038, 2θ 44.46, I 50, hkl 1 1 0
d 1.672, 2θ 54.92, I 14, hkl 1 1 2
d 1.441, 2θ 64.69, I 16, hkl 2 0 0
d 1.188, 2θ 80.92, I 15, hkl 1 1 4
d 1.179, 2θ 81.64, I 32, hkl 2 1 2

Atomic structure:
abc: 2.882 2.882 5.848
angles: 90.00 90.00 90.00
Space group P4mm (No. 99)
Symmetry-distinct sites (fractional):
Cr 0.000 0.000 0.000 (multiplicity 1)
Cr 0.500 0.500 0.247 (multiplicity 1)
P 0.500 0.500 0.793 (multiplicity 1)
Os 0.000 0.000 0.517 (multiplicity 1)

---

8.
For Pa2CrOs3, DFT lattice parameters and positions (PBE) gives the theoretical powder diffractogram in this record (Cu Kα (weighted mean of Kα1 and Kα2)).

Largest 10 diffraction maxima, by angle, 10° ≤ 2θ ≤ 90°:
d 3.059, 2θ 29.20, I 18, hkl 1 0 2
d 2.778, 2θ 32.22, I 21, hkl 1 1 0
d 2.406, 2θ 37.38, I 28, hkl 2 0 0
d 2.316, 2θ 38.89, I 70, hkl 1 0 3
d 2.302, 2θ 39.13, I 100, hkl 2 0 1
d 2.275, 2θ 39.62, I 66, hkl 1 1 2
d 1.498, 2θ 61.94, I 37, hkl 2 1 3
d 1.389, 2θ 67.42, I 28, hkl 2 2 0
d 1.324, 2θ 71.25, I 28, hkl 2 0 5
d 1.191, 2θ 80.66, I 18, hkl 3 1 3

Atomic structure:
abc: 5.5565 5.5565 7.9248
angles: 90.00 90.00 120.00
Space group P6_3/mmc (No. 194)
Symmetry-distinct sites (fractional):
Pa 0.3333 0.6667 0.0682 (multiplicity 4)
Cr 0.0000 0.0000 0.0000 (multiplicity 2)
Os 0.1664 0.3328 0.7500 (multiplicity 6)

---

9.
For CrOs4Pb, DFT lattice parameters and positions (PBE) gives the theoretical powder diffractogram in this record (Cu Kα (weighted mean of Kα1 and Kα2)).

Largest 10 diffraction maxima, by angle, 10° ≤ 2θ ≤ 90°:
d 4.291, 2θ 20.70, I 26, hkl 1 1 1
d 3.716, 2θ 23.95, I 7, hkl 2 0 0
d 2.628, 2θ 34.12, I 16, hkl 2 2 0
d 2.241, 2θ 40.25, I 100, hkl 3 1 1
d 2.145, 2θ 42.12, I 53, hkl 2 2 2
d 1.858, 2θ 49.03, I 11, hkl 4 0 0
d 1.430, 2θ 65.23, I 33, hkl 5 1 1
d 1.314, 2θ 71.86, I 29, hkl 4 4 0
d 1.133, 2θ 85.72, I 12, hkl 5 3 3
d 1.120, 2θ 86.96, I 21, hkl 6 2 2

Atomic structure:
abc: 7.432 7.432 7.432
angles: 90.00 90.00 90.00
Space group F-43m (No. 216)
Symmetry-distinct sites (fractional):
Cr 0.000 0.000 0.000 (multiplicity 4)
Os 0.126 0.126 0.374 (multiplicity 16)
Pb 0.250 0.250 0.750 (multiplicity 4)

---

10.
For CrRe2Os, DFT lattice parameters and positions (PBE) gives the theoretical powder diffractogram in this record (Cu Kα (weighted mean of Kα1 and Kα2)).

Largest 10 diffraction maxima, by angle, 10° ≤ 2θ ≤ 90°:
d 3.545, 2θ 25.12, I 11, hkl 1 1 1
d 3.070, 2θ 29.09, I 6, hkl 2 0 0
d 2.171, 2θ 41.60, I 100, hkl 2 2 0
d 1.851, 2θ 49.22, I 6, hkl 3 1 1
d 1.773, 2θ 51.56, I 2, hkl 2 2 2
d 1.535, 2θ 60.29, I 17, hkl 4 0 0
d 1.409, 2θ 66.36, I 3, hkl 3 3 1
d 1.373, 2θ 68.32, I 2, hkl 4 2 0
d 1.253, 2θ 75.91, I 34, hkl 4 2 2
d 1.182, 2θ 81.44, I 2, hkl 5 1 1

Atomic structure:
abc: 6.140 6.140 6.140
angles: 90.00 90.00 90.00
Space group F-43m (No. 216)
Symmetry-distinct sites (fractional):
Cr 0.000 0.000 0.000 (multiplicity 4)
Re 0.000 0.000 0.500 (multiplicity 4)
Re 0.250 0.250 0.750 (multiplicity 4)
Os 0.250 0.250 0.250 (multiplicity 4)

---

11.
For CrReSiOs2, DFT lattice parameters and positions (PBE) gives the theoretical powder diffractogram in this record (Cu Kα (weighted mean of Kα1 and Kα2)).

Largest 10 diffraction maxima, by angle, 10° ≤ 2θ ≤ 90°:
d 4.721, 2θ 18.79, I 42, hkl 1 0 0
d 4.611, 2θ 19.25, I 100, hkl 0 0 1
d 2.704, 2θ 33.13, I 36, hkl 1 1 1
d 2.361, 2θ 38.12, I 67, hkl 2 0 0
d 2.305, 2θ 39.07, I 31, hkl 0 0 2
d 2.101, 2θ 43.05, I 53, hkl 2 0 1
d 1.669, 2θ 55.01, I 23, hkl 2 2 0
d 1.649, 2θ 55.73, I 45, hkl 2 0 2
d 1.570, 2θ 58.83, I 22, hkl 2 2 1
d 1.352, 2θ 69.53, I 23, hkl 2 2 2

Atomic structure:
abc: 4.721 4.721 4.611
angles: 90.00 90.00 90.00
Space group P4/mmm (No. 123)
Symmetry-distinct sites (fractional):
Cr 0.000 0.000 0.000 (multiplicity 1)
Re 0.000 0.000 0.500 (multiplicity 1)
Si 0.500 0.500 0.000 (multiplicity 1)
Os 0.000 0.500 0.500 (multiplicity 2)

---

12.
For Cr2OsRh5, DFT lattice parameters and positions (PBE) gives the theoretical powder diffractogram in this record (Cu Kα (weighted mean of Kα1 and Kα2)).

Largest 10 diffraction maxima, by angle, 10° ≤ 2θ ≤ 90°:
d 4.802, 2θ 18.48, I 4, hkl 1 1 0
d 3.801, 2θ 23.40, I 9, hkl 0 0 1
d 2.686, 2θ 33.36, I 7, hkl 2 0 0
d 2.194, 2θ 41.15, I 100, hkl 2 0 1
d 1.900, 2θ 47.88, I 48, hkl 0 0 2
d 1.344, 2θ 70.02, I 25, hkl 2 4 2
d 1.342, 2θ 70.12, I 5, hkl 4 0 0
d 1.147, 2θ 84.50, I 12, hkl 2 0 3
d 1.145, 2θ 84.63, I 24, hkl 4 4 1
d 1.097, 2θ 89.31, I 11, hkl 4 0 2

Atomic structure:
abc: 5.368 10.746 3.804
angles: 90.00 90.00 90.00
Space group Pbam (No. 55)
Symmetry-distinct sites (fractional):
Cr 0.242 0.123 0.000 (multiplicity 4)
Os 0.000 0.000 0.500 (multiplicity 2)
Rh 0.000 0.500 0.500 (multiplicity 2)
Rh 0.001 0.248 0.500 (multiplicity 4)
Rh 0.248 0.876 0.000 (multiplicity 4)

---

13.
For CrOsRu4, DFT lattice parameters and positions (PBE) gives the theoretical powder diffractogram in this record (Cu Kα (weighted mean of Kα1 and Kα2)).

Largest 10 diffraction maxima, by angle, 10° ≤ 2θ ≤ 90°:
d 7.017, 2θ 12.61, I 21, hkl 0 0 2
d 2.352, 2θ 38.27, I 26, hkl 0 1 3
d 2.144, 2θ 42.14, I 37, hkl 2 0 0
d 2.062, 2θ 43.90, I 100, hkl 1 1 3
d 2.053, 2θ 44.10, I 50, hkl 1 0 6
d 1.585, 2θ 58.22, I 15, hkl 2 1 3
d 1.353, 2θ 69.47, I 16, hkl 0 1 9
d 1.222, 2θ 78.26, I 18, hkl 3 1 3
d 1.144, 2θ 84.71, I 19, hkl 2 1 9
d 1.134, 2θ 85.65, I 14, hkl 1 2 6

Atomic structure:
abc: 4.289 2.721 14.034
angles: 90.00 90.00 90.00
Space group Amm2 (No. 38)
Symmetry-distinct sites (fractional):
Cr 0.000 0.000 0.000 (multiplicity 2)
Os 0.500 0.000 0.222 (multiplicity 2)
Ru 0.000 0.000 0.338 (multiplicity 2)
Ru 0.000 0.000 0.665 (multiplicity 2)
Ru 0.500 0.000 0.553 (multiplicity 2)
Ru 0.500 0.000 0.891 (multiplicity 2)

---

14.
For CrOs2Ru6, DFT lattice parameters and positions (PBE) gives the theoretical powder diffractogram in this record (Cu Kα (weighted mean of Kα1 and Kα2)).

Largest 10 diffraction maxima, by angle, 10° ≤ 2θ ≤ 90°:
d 2.336, 2θ 38.54, I 28, hkl 6 0 -1
d 2.287, 2θ 39.40, I 39, hkl 6 0 0
d 2.158, 2θ 41.86, I 52, hkl 0 0 3
d 2.117, 2θ 42.70, I 100, hkl 3 1 1
d 2.013, 2θ 45.05, I 86, hkl 3 1 -2
d 1.795, 2θ 50.88, I 19, hkl 6 0 -3
d 1.358, 2θ 69.15, I 34, hkl 0 2 0
d 1.261, 2θ 75.36, I 18, hkl 3 1 4
d 1.150, 2θ 84.17, I 27, hkl 0 2 3
d 1.149, 2θ 84.32, I 13, hkl 9 1 2

Atomic structure:
abc: 14.108 2.719 6.664
angles: 90.00 103.71 90.00
Space group C2/m (No. 12)
Symmetry-distinct sites (fractional):
Cr 0.000 0.000 0.000 (multiplicity 2)
Os 0.091 0.500 0.331 (multiplicity 4)
Ru 0.073 0.000 0.665 (multiplicity 4)
Ru 0.164 0.500 0.001 (multiplicity 4)
Ru 0.241 0.500 0.662 (multiplicity 4)

---

15.
For Cr2OsRu5, DFT lattice parameters and positions (PBE) gives the theoretical powder diffractogram in this record (Cu Kα (weighted mean of Kα1 and Kα2)).

Largest 10 diffraction maxima, by angle, 10° ≤ 2θ ≤ 90°:
d 2.347, 2θ 38.36, I 27, hkl 2 0 2
d 2.326, 2θ 38.71, I 15, hkl 0 0 4
d 2.133, 2θ 42.38, I 36, hkl 0 4 0
d 2.056, 2θ 44.04, I 100, hkl 2 2 2
d 2.042, 2θ 44.36, I 46, hkl 0 2 4
d 1.578, 2θ 58.47, I 15, hkl 2 4 2
d 1.347, 2θ 69.83, I 16, hkl 2 0 6
d 1.216, 2θ 78.68, I 17, hkl 2 6 2
d 1.139, 2θ 85.21, I 18, hkl 2 4 6
d 1.131, 2θ 85.91, I 13, hkl 4 2 4

Atomic structure:
abc: 5.436 8.532 9.304
angles: 90.00 90.00 90.00
Space group Fmm2 (No. 42)
Symmetry-distinct sites (fractional):
Cr 0.000 0.249 0.000 (multiplicity 8)
Os 0.000 0.000 0.164 (multiplicity 4)
Ru 0.000 0.000 0.664 (multiplicity 4)
Ru 0.249 0.000 0.421 (multiplicity 8)
Ru 0.250 0.250 0.247 (multiplicity 8)